# 1
Structure and computed PXRD pattern of Pm4Cd7In (the PBE geometry in Alexandria; CuKα).
Intensities are scaled so that the largest is 100.

Crystal structure
Unit cell a=11.2836 b=5.6594 c=11.4025 alpha=90.00 beta=114.03 gamma=90.00
Space group C2/m (No. 12)
Inequivalent atoms, fractional coordinates:
Pm 0.0669 0.0000 0.3628 [4 per cell]
Pm 0.1391 0.5000 0.7829 [4 per cell]
Cd 0.0000 0.0000 0.0000 [2 per cell]
Cd 0.1281 0.5000 0.5095 [4 per cell]
Cd 0.2107 0.0000 0.9164 [4 per cell]
Cd 0.2385 0.5000 0.3194 [4 per cell]
In 0.0000 0.5000 0.0000 [2 per cell]

Most intense lines, 2θ = 10–90°, by intensity:
- 2θ 31.61, intensity 100, hkl 0 2 0
- 2θ 35.67, intensity 78, hkl 1 1 -4
- 2θ 34.50, intensity 64, hkl 3 1 1
- 2θ 33.85, intensity 40, hkl 4 0 -3
- 2θ 46.99, intensity 36, hkl 4 2 -3
- 2θ 34.31, intensity 35, hkl 1 1 3
- 2θ 28.92, intensity 26, hkl 2 0 2
- 2θ 32.22, intensity 25, hkl 4 0 -1



# 2
Structure and computed PXRD pattern of Pm3Cd4In2 (the PBE geometry in Alexandria; CuKα).
Intensities are scaled so that the largest is 100.

Crystal structure
Unit cell a=11.2723 b=4.9996 c=9.4319 alpha=90.00 beta=117.47 gamma=90.00
Space group C2/m (No. 12)
Inequivalent atoms, fractional coordinates:
Pm 0.0000 0.0000 0.0000 [2 per cell]
Pm 0.1657 0.5000 0.6704 [4 per cell]
Cd 0.0751 0.0000 0.4104 [4 per cell]
Cd 0.2059 0.5000 0.0359 [4 per cell]
In 0.1095 0.5000 0.2748 [4 per cell]

Most intense lines, 2θ = 10–90°, by intensity:
- 2θ 35.87, intensity 100, hkl 0 2 0
- 2θ 32.14, intensity 63, hkl 1 1 2
- 2θ 32.28, intensity 61, hkl 4 0 -1
- 2θ 62.26, intensity 24, hkl 7 1 -4
- 2θ 49.07, intensity 20, hkl 4 2 -1
- 2θ 48.93, intensity 12, hkl 0 2 3
- 2θ 64.52, intensity 11, hkl 3 3 -3
- 2θ 63.58, intensity 10, hkl 7 1 -1



# 3
Structure and computed PXRD pattern of Pm8CdIn2 (the PBE geometry in Alexandria; CuKα).
Intensities are scaled so that the largest is 100.

Crystal structure
Unit cell a=18.3182 b=5.3078 c=7.2781 alpha=90.00 beta=100.54 gamma=90.00
Space group C2/m (No. 12)
Inequivalent atoms, fractional coordinates:
Pm 0.0300 0.0000 0.2445 [4 per cell]
Pm 0.0937 0.5000 0.9489 [4 per cell]
Pm 0.1628 0.5000 0.4347 [4 per cell]
Pm 0.1830 0.0000 0.7670 [4 per cell]
Cd 0.0000 0.5000 0.5000 [2 per cell]
In 0.2060 0.0000 0.2126 [4 per cell]

Most intense lines, 2θ = 10–90°, by intensity:
- 2θ 31.29, intensity 100, hkl 1 1 2
- 2θ 30.70, intensity 93, hkl 5 1 -1
- 2θ 33.77, intensity 65, hkl 0 2 0
- 2θ 29.98, intensity 39, hkl 5 1 0
- 2θ 29.77, intensity 34, hkl 1 1 -2
- 2θ 34.45, intensity 24, hkl 6 0 1
- 2θ 36.19, intensity 22, hkl 5 1 -2
- 2θ 49.02, intensity 17, hkl 6 2 1



# 4
Structure and computed PXRD pattern of Pm8Cd2In (the PBE geometry in Alexandria; CuKα).
Intensities are scaled so that the largest is 100.

Crystal structure
Unit cell a=16.7130 b=5.4634 c=8.7531 alpha=90.00 beta=120.85 gamma=90.00
Space group C2/m (No. 12)
Inequivalent atoms, fractional coordinates:
Pm 0.0690 0.0000 0.2212 [4 per cell]
Pm 0.0921 0.5000 0.9493 [4 per cell]
Pm 0.1379 0.0000 0.6884 [4 per cell]
Pm 0.1813 0.5000 0.4499 [4 per cell]
Cd 0.2270 0.0000 0.1167 [4 per cell]
In 0.0000 0.5000 0.5000 [2 per cell]

Most intense lines, 2θ = 10–90°, by intensity:
- 2θ 32.05, intensity 100, hkl 1 1 2
- 2θ 31.64, intensity 96, hkl 5 1 -1
- 2θ 32.78, intensity 50, hkl 0 2 0
- 2θ 31.37, intensity 46, hkl 4 0 -3
- 2θ 46.01, intensity 30, hkl 4 2 -3
- 2θ 58.06, intensity 18, hkl 1 3 2
- 2θ 57.04, intensity 17, hkl 6 2 1
- 2θ 45.31, intensity 17, hkl 6 0 1